# K3NaPu2O9
Simulated PXRD pattern, Cu Kα (weighted mean of Kα1 and Kα2). Input: DFT lattice parameters and positions (GGA-PBE).
Kinematic intensities with the Lorentz-polarization factor, no thermal factor.

Crystal structure
Unit cell a=6.0699 b=6.0699 c=7.5079 alpha=90.00 beta=90.00 gamma=120.00
Space group P-3m1 (No. 164)
One atom of each set of equivalent atoms:
K  0.0000  0.0000  0.0000 (multiplicity 1)
K  0.3333  0.6667  0.6488 (multiplicity 2)
Na  0.0000  0.0000  0.5000 (multiplicity 1)
Pu  0.3333  0.6667  0.1604 (multiplicity 2)
O  0.0000  0.5000  0.0000 (multiplicity 3)
O  0.1826  0.3653  0.3083 (multiplicity 6)

Most intense lines, 15° ≤ 2θ ≤ 90°, in order of rising 2θ:
(1 0 0), d 5.257, I 34; (1 0 1), d 4.306, I 100; (0 1 2), d 3.055, I 74; (1 1 0), d 3.035, I 61; (1 1 1), d 2.814, I 14; (2 0 2), d 2.153, I 44; (1 1 3), d 1.931, I 19; (2 1 1), d 1.921, I 22; (1 2 2), d 1.756, I 31; (2 3 2), d 1.148, I 14